No. 1
Diffraction record for Ca4Mg2O. The X-ray powder pattern is theoretical, not measured: it uses DFT lattice parameters and positions (GGA-PBE) and copper Kα.
Intensities are scaled so that the largest is 100.

Largest 10 diffraction maxima, sorted by position, 2θ = 5–70°:
2θ 10.03, intensity 50
2θ 28.27, intensity 83
2θ 30.40, intensity 59
2θ 33.39, intensity 100
2θ 37.62, intensity 75
2θ 49.11, intensity 54
2θ 54.26, intensity 23
2θ 59.07, intensity 20
2θ 63.47, intensity 23
2θ 65.23, intensity 25

Atomic structure:
abc: 9.4459 9.4459 9.4459
angles: 150.68 150.68 41.95
Element x y z (fractional)
Ca  0.0000  0.5000  0.5000
Ca  0.1625  0.1625  0.0000
Ca  0.5000  0.0000  0.5000
Ca  0.8375  0.8375  0.0000
Mg  0.3561  0.3561  0.0000
Mg  0.6439  0.6439  0.0000
O  0.0000  0.0000  0.0000

No. 2
Diffraction record for Rb3S. The X-ray powder pattern is theoretical, not measured: it uses DFT lattice parameters and positions (GGA-PBE) and copper Kα.
Intensities are scaled so that the largest is 100.

Largest 10 diffraction maxima, sorted by position, 2θ = 5–70°:
2θ 9.33, intensity 39
2θ 20.97, intensity 100
2θ 28.26, intensity 54
2θ 32.75, intensity 80
2θ 34.12, intensity 22
2θ 38.00, intensity 39
2θ 43.81, intensity 28
2θ 54.83, intensity 23
2θ 55.73, intensity 16
2θ 65.35, intensity 25

Atomic structure:
abc: 4.7350 4.7350 9.4771
angles: 90.00 90.00 90.00
Element x y z (fractional)
Rb  0.0000  0.0000  0.0000
Rb  0.0000  0.5000  0.7189
Rb  0.5000  0.0000  0.2811
S  0.5000  0.5000  0.0000

No. 3
Diffraction record for Tb2NdErTh. The X-ray powder pattern is theoretical, not measured: it uses DFT lattice parameters and positions (GGA-PBE) and copper Kα.
Intensities are scaled so that the largest is 100.

Largest 10 diffraction maxima, sorted by position, 2θ = 5–70°:
2θ 20.94, intensity 46
2θ 27.34, intensity 56
2θ 28.51, intensity 55
2θ 29.78, intensity 100
2θ 30.55, intensity 77
2θ 31.64, intensity 41
2θ 31.80, intensity 47
2θ 32.39, intensity 51
2θ 34.94, intensity 52
2θ 42.10, intensity 46

Atomic structure:
abc: 8.5827 6.4140 6.3353
angles: 90.00 98.72 90.00
Element x y z (fractional)
Tb  0.1846  0.1867  0.2962
Tb  0.1846  0.8133  0.7962
Tb  0.8154  0.1867  0.2038
Tb  0.8154  0.8133  0.7038
Nd  0.5000  0.5000  0.0000
Nd  0.5000  0.5000  0.5000
Er  0.0000  0.3267  0.7500
Er  0.0000  0.6733  0.2500
Th  0.5000  0.0483  0.7500
Th  0.5000  0.9517  0.2500

No. 4
Diffraction record for Li5GaSn4. The X-ray powder pattern is theoretical, not measured: it uses DFT lattice parameters and positions (GGA-PBE) and copper Kα.
Intensities are scaled so that the largest is 100.

Largest 10 diffraction maxima, sorted by position, 2θ = 5–70°:
2θ 25.09, intensity 54
2θ 26.94, intensity 100
2θ 37.15, intensity 95
2θ 38.47, intensity 48
2θ 46.49, intensity 43
2θ 55.54, intensity 17
2θ 59.07, intensity 16
2θ 61.87, intensity 18
2θ 62.79, intensity 20
2θ 68.72, intensity 33

Atomic structure:
abc: 3.3093 3.3093 17.7444
angles: 90.00 90.00 90.00
Element x y z (fractional)
Li  0.0000  0.0000  0.0000
Li  0.0000  0.0000  0.2092
Li  0.0000  0.0000  0.4163
Li  0.0000  0.0000  0.5837
Li  0.0000  0.0000  0.7908
Ga  0.5000  0.5000  0.5000
Sn  0.5000  0.5000  0.1021
Sn  0.5000  0.5000  0.3149
Sn  0.5000  0.5000  0.6851
Sn  0.5000  0.5000  0.8979

No. 5
Diffraction record for Ba3Tl4In2. The X-ray powder pattern is theoretical, not measured: it uses DFT lattice parameters and positions (GGA-PBE) and copper Kα.
Intensities are scaled so that the largest is 100.

Largest 10 diffraction maxima, sorted by position, 2θ = 5–70°:
2θ 18.46, intensity 20
2θ 27.04, intensity 39
2θ 27.85, intensity 86
2θ 28.01, intensity 60
2θ 28.15, intensity 19
2θ 33.81, intensity 56
2θ 33.98, intensity 100
2θ 44.32, intensity 24
2θ 56.96, intensity 23
2θ 60.59, intensity 27

Atomic structure:
abc: 6.8729 6.8729 10.1998
angles: 107.94 107.94 45.37
Element x y z (fractional)
Ba  0.0000  0.0000  0.0000
Ba  0.3561  0.3561  0.3198
Ba  0.6439  0.6439  0.6802
Tl  0.0993  0.0993  0.4288
Tl  0.3033  0.3033  0.9642
Tl  0.6967  0.6967  0.0358
Tl  0.9007  0.9007  0.5712
In  0.3458  0.3458  0.6870
In  0.6542  0.6542  0.3130

No. 6
Diffraction record for Cs2ErOsO6. The X-ray powder pattern is theoretical, not measured: it uses DFT lattice parameters and positions (GGA-PBE) and copper Kα.
Intensities are scaled so that the largest is 100.

Largest 10 diffraction maxima, sorted by position, 2θ = 5–70°:
2θ 15.34, intensity 75
2θ 21.90, intensity 28
2θ 26.72, intensity 100
2θ 34.82, intensity 20
2θ 35.11, intensity 48
2θ 44.66, intensity 35
2θ 47.19, intensity 20
2θ 52.81, intensity 37
2θ 55.06, intensity 16
2θ 67.00, intensity 17

Atomic structure:
abc: 6.6717 6.6717 5.7001
angles: 90.00 90.00 120.00
Element x y z (fractional)
Cs  0.3333  0.6667  0.1529
Cs  0.6667  0.3333  0.8471
Er  0.0000  0.0000  0.5000
Os  0.0000  0.0000  0.0000
O  0.1315  0.2631  0.7937
O  0.1315  0.8685  0.7937
O  0.2631  0.1315  0.2063
O  0.7369  0.8685  0.7937
O  0.8685  0.1315  0.2063
O  0.8685  0.7369  0.2063